The following is a calculated powder XRD pattern of LiNb10O18. It was derived from a crystal structure in the Materials Project, relaxed with PBE, using CuKα.
No peak broadening, texture or thermal motion is included.

Crystal structure
Unit cell a=7.936 b=9.458 c=10.422 alpha=90.00 beta=110.45 gamma=90.00
Element x y z (fractional)
Li 0.000 0.000 0.000
Li 0.000 0.500 0.500
Nb 0.004 0.116 0.669
Nb 0.004 0.384 0.169
Nb 0.180 0.630 0.123
Nb 0.180 0.870 0.623
Nb 0.197 0.126 0.481
Nb 0.197 0.374 0.981
Nb 0.396 0.113 0.270
Nb 0.396 0.387 0.770
Nb 0.397 0.629 0.439
Nb 0.397 0.871 0.939
Nb 0.603 0.129 0.061
Nb 0.603 0.371 0.561
Nb 0.604 0.613 0.230
Nb 0.604 0.887 0.730
Nb 0.803 0.626 0.019
Nb 0.803 0.874 0.519
Nb 0.820 0.130 0.377
Nb 0.820 0.370 0.877
Nb 0.996 0.616 0.831
Nb 0.996 0.884 0.331
O 0.011 0.238 0.850
O 0.011 0.262 0.350
O 0.195 0.747 0.461
O 0.195 0.753 0.961
O 0.200 0.005 0.303
O 0.200 0.495 0.803
O 0.200 0.513 0.304
O 0.200 0.987 0.804
O 0.202 0.247 0.146
O 0.202 0.253 0.646
O 0.395 0.008 0.098
O 0.395 0.492 0.598
O 0.399 0.503 0.109
O 0.399 0.997 0.609
O 0.411 0.736 0.274
O 0.411 0.764 0.774
O 0.418 0.243 0.432
O 0.418 0.257 0.932
O 0.582 0.743 0.068
O 0.582 0.757 0.568
O 0.589 0.236 0.226
O 0.589 0.264 0.726
O 0.601 0.003 0.391
O 0.601 0.497 0.891
O 0.605 0.508 0.402
O 0.605 0.992 0.902
O 0.798 0.747 0.354
O 0.798 0.753 0.854
O 0.800 0.013 0.196
O 0.800 0.487 0.696
O 0.800 0.505 0.197
O 0.800 0.995 0.697
O 0.805 0.247 0.039
O 0.805 0.253 0.539
O 0.989 0.738 0.650
O 0.989 0.762 0.150

Top 12 peaks for 10 to 80 degrees two-theta, low angle first:
13.0 deg, I = 67, hkl 0 1 1; 15.4 deg, I = 81, hkl 1 1 -1; 19.7 deg, I = 35, hkl 1 1 1; 20.9 deg, I = 47, hkl 0 2 1; 25.7 deg, I = 100, hkl 1 2 1; 29.4 deg, I = 41, hkl 2 2 -1; 31.0 deg, I = 62, hkl 2 1 -3; 35.7 deg, I = 67, hkl 1 1 -4; 45.1 deg, I = 54, hkl 3 3 -2; 45.2 deg, I = 47, hkl 1 3 -4; 45.7 deg, I = 39, hkl 2 3 2; 62.5 deg, I = 40, hkl 5 0 0